# PmYZn2
Computed powder diffractogram, copper Kα. Input: a cell relaxed with GGA-PBE.
Lines closer than 0.1° are merged.

Crystal structure
```
data_PmYZn2
_chemical_formula_sum 'Pm4 Y4 Zn8'
_cell_length_a 7.254
_cell_length_b 7.254
_cell_length_c 7.254
_cell_angle_alpha 90.00
_cell_angle_beta 90.00
_cell_angle_gamma 90.00
_symmetry_space_group_name_H-M 'P 1'
_symmetry_Int_Tables_number 1
_symmetry_space_group_name_Hall 'P 1'
loop_
_atom_site_label
_atom_site_fract_x
_atom_site_fract_y
_atom_site_fract_z
_atom_site_occupancy
Pm1 0.000 0.000 0.000 1
Pm2 0.000 0.500 0.500 1
Pm3 0.500 0.000 0.500 1
Pm4 0.500 0.500 0.000 1
Y1 0.000 0.000 0.500 1
Y2 0.000 0.500 0.000 1
Y3 0.500 0.000 0.000 1
Y4 0.500 0.500 0.500 1
Zn1 0.250 0.250 0.250 1
Zn2 0.250 0.250 0.750 1
Zn3 0.250 0.750 0.250 1
Zn4 0.250 0.750 0.750 1
Zn5 0.750 0.250 0.250 1
Zn6 0.750 0.250 0.750 1
Zn7 0.750 0.750 0.250 1
Zn8 0.750 0.750 0.750 1
```

Main lines, low angle first (15 to 90 degrees two-theta):
| 2theta | I_rel | index |
| --- | --- | --- |
| 21.21 | 49 | 1 1 1 |
| 24.54 | 78 | 2 0 0 |
| 34.98 | 1000 | 2 2 0 |
| 50.31 | 175 | 4 0 0 |
| 56.75 | 32 | 4 2 0 |
| 62.75 | 352 | 4 2 2 |
| 73.90 | 107 | 4 4 0 |
| 84.46 | 150 | 6 2 0 |